Starting from DFT lattice parameters and positions (GGA-PBE), the PXRD pattern of PmPd4 was simulated for Cu Kα.
No peak broadening, texture or thermal motion is included.

The 12 most intense peaks (2θ = 10–80°), in order of rising 2θ:
d 2.399, 2θ 37.5, I 92
d 2.362, 2θ 38.1, I 100
d 2.238, 2θ 40.3, I 39
d 2.214, 2θ 40.8, I 43
d 2.158, 2θ 41.9, I 17
d 1.819, 2θ 50.2, I 18
d 1.574, 2θ 58.7, I 26
d 1.405, 2θ 66.5, I 15
d 1.311, 2θ 72.0, I 13
d 1.308, 2θ 72.2, I 13
d 1.305, 2θ 72.4, I 15
d 1.241, 2θ 76.8, I 29

Cell and atoms:
abc: 4.4278 5.8324 13.9614
angles: 90.00 90.00 90.00
Space group Imma (No. 74)
Symmetry-distinct sites (fractional):
Pm  0.0000  0.2500  0.1073 [4 per cell]
Pd  0.0000  0.0000  0.5000 [4 per cell]
Pd  0.0000  0.0162  0.6958 [8 per cell]
Pd  0.0000  0.2500  0.8893 [4 per cell]